Diffraction record for BaInFe4O7. The powder XRD pattern is simulated, not measured: it uses a structure optimized by DFT (PBE+U) and Cu Kα X-rays.
Intensities are scaled so that the largest is 100.

Principal peaks in the range 2θ from 10° to 80°, by angle:
Position (°2θ), I_rel, h k l
28.11, 52.0, 2 2 0
33.09, 100.0, 3 1 1
34.61, 27.4, 2 2 2
49.76, 21.5, 4 2 2
53.00, 34.7, 5 1 1
58.12, 39.5, 4 4 0
65.79, 9.3, 6 2 0
68.54, 11.3, 5 3 3
69.45, 8.4, 6 2 2
79.97, 11.1, 6 4 2

Structure:
```
data_BaInFe4O7
_symmetry_space_group_name_H-M 'F -4 3 m'
_symmetry_Int_Tables_number 216
_symmetry_space_group_name_Hall 'F -4 2 3'
_cell_length_a 8.9776
_cell_length_b 8.9776
_cell_length_c 8.9776
_cell_angle_alpha 90.00
_cell_angle_beta 90.00
_cell_angle_gamma 90.00
loop_
_atom_site_label
_atom_site_fract_x
_atom_site_fract_y
_atom_site_fract_z
_atom_site_occupancy
Ba1 0.0000 0.0000 0.0000 1
In1 0.2500 0.2500 0.2500 1
Fe1 0.1282 0.1282 0.6282 1
O1 0.0000 0.0000 0.5000 1
O2 0.0057 0.2500 0.2500 1
```